# Sr2GeO4
Simulated powder XRD pattern, Cu Kα X-rays. Input: a structure optimized by DFT (PBE).
No peak broadening, texture or thermal motion is included.

Structural model:
Cell: 5.9183 7.2947 11.2595 Å, 90.00 117.11 90.00°
Space group P2_1/c (No. 14)
Unique sites:
1 Sr 0.0203 0.0051 0.2997 (multiplicity 4)
2 Sr 0.2983 0.6547 0.5690 (multiplicity 4)
3 Ge 0.3487 0.2161 0.5840 (multiplicity 4)
4 O 0.1434 0.1741 0.1399 (multiplicity 4)
5 O 0.2706 0.1660 0.9295 (multiplicity 4)
6 O 0.2744 0.5178 0.0570 (multiplicity 4)
7 O 0.3247 0.7479 0.8032 (multiplicity 4)

Top 6 peaks for 10 to 80 degrees two-theta, in order of falling intensity:
30.30°, d = 2.950 Å, intensity 100
29.68°, d = 3.010 Å, intensity 70
29.79°, d = 2.999 Å, intensity 53
31.80°, d = 2.814 Å, intensity 47
30.51°, d = 2.930 Å, intensity 32
28.78°, d = 3.102 Å, intensity 31